# AlCu2Pd
Calculated powder X-ray diffraction pattern, λ = 1.5418 Å (Cu Kα). Input: a cell relaxed with PBE.

Structural model:
```
data_AlCu2Pd
_chemical_formula_sum 'Al1 Cu2 Pd1'
_space_group_name_H-M_alt 'P 4/m m m'
_space_group_IT_number 123
_space_group_name_Hall '-P 4 2'
_cell_length_a 3.165
_cell_length_b 3.165
_cell_length_c 5.398
_cell_angle_alpha 90.00
_cell_angle_beta 90.00
_cell_angle_gamma 90.00
loop_
_atom_site_label
_atom_site_fract_x
_atom_site_fract_y
_atom_site_fract_z
Al1 0.000 0.000 0.000
Cu1 0.500 0.500 0.240
Pd1 0.000 0.000 0.500
```

Largest 10 diffraction maxima, sorted by position, 5 to 70 degrees two-theta:
2θ = 16.4°, 5.398 Å, intensity 22, (0 0 1)
2θ = 32.8°, 2.731 Å, intensity 25, (1 0 1)
2θ = 40.3°, 2.238 Å, intensity 66, (1 1 0)
2θ = 43.8°, 2.068 Å, intensity 7, (1 1 1)
2θ = 44.1°, 2.054 Å, intensity 100, (1 0 2)
2θ = 58.3°, 1.583 Å, intensity 21, (2 0 0)
2θ = 61.0°, 1.519 Å, intensity 3, (2 0 1)
2θ = 66.7°, 1.402 Å, intensity 4, (1 1 3)
2θ = 68.5°, 1.369 Å, intensity 6, (2 1 1)
2θ = 69.7°, 1.350 Å, intensity 6, (0 0 4)